For Ce2ThZn2In2, a DFT-relaxed cell (PBE, Alexandria) gives the simulated X-ray powder pattern in this record (Cu Ka).

```
Ce2ThZn2In2
1.0
2.273 1.312 9.592
-2.273 1.312 9.592
0.000 -2.624 9.592
Ce Th Zn In
2 1 2 2
Direct
0.144 0.144 0.144
0.856 0.856 0.856
0.000 0.000 0.000
0.401 0.401 0.401
0.599 0.599 0.599
0.261 0.261 0.261
0.739 0.739 0.739
```

Principal peaks in the range 2θ from 10° to 80°, by angle:
2θ 22.80, I 35
2θ 27.45, I 18
2θ 31.47, I 100
2θ 33.76, I 75
2θ 39.66, I 95
2θ 51.48, I 25
2θ 53.04, I 21
2θ 55.73, I 14
2θ 63.46, I 32
2θ 66.88, I 23
2θ 68.21, I 19
2θ 71.97, I 16